TbTh3Bi4: theoretical powder diffractogram (copper Kα), based on DFT lattice parameters and positions (GGA-PBE).

Most intense lines, 15° ≤ 2θ ≤ 90°, by angle:
d = 3.233 Å, intensity 100.0
d = 2.286 Å, intensity 79.1
d = 1.867 Å, intensity 29.0
d = 1.617 Å, intensity 13.8
d = 1.446 Å, intensity 31.9
d = 1.445 Å, intensity 6.4
d = 1.321 Å, intensity 14.2
d = 1.319 Å, intensity 14.3

Structure:
```
TbTh3Bi4
1.0
9.157 0.000 0.000
0.000 12.932 0.000
0.000 0.000 4.568
Tb Th Bi
2 6 8
Direct
0.000 0.000 0.000
0.500 0.500 0.000
0.000 0.500 0.000
0.250 0.250 0.500
0.250 0.750 0.500
0.500 0.000 0.000
0.750 0.250 0.500
0.750 0.750 0.500
0.000 0.247 0.000
0.000 0.753 0.000
0.244 0.000 0.500
0.256 0.500 0.500
0.500 0.253 0.000
0.500 0.747 0.000
0.744 0.500 0.500
0.756 0.000 0.500
```

---

TbY2Th3Bi6: theoretical powder diffractogram (copper Kα), based on DFT lattice parameters and positions (GGA-PBE).

Most intense lines, 15° ≤ 2θ ≤ 90°, by angle:
d = 3.211 Å, intensity 100.0
d = 2.275 Å, intensity 39.7
d = 2.267 Å, intensity 38.8
d = 1.856 Å, intensity 21.6
d = 1.606 Å, intensity 13.6
d = 1.438 Å, intensity 19.1
d = 1.435 Å, intensity 12.3
d = 1.313 Å, intensity 16.5

Structure:
```
TbY2Th3Bi6
1.0
9.896 -2.275 0.000
9.896 2.275 0.000
-2.040 0.000 8.824
Tb Y Th Bi
1 2 3 6
Direct
0.000 0.000 0.000
0.333 0.333 0.667
0.667 0.667 0.333
0.000 0.000 0.500
0.333 0.333 0.167
0.667 0.667 0.833
0.165 0.165 0.088
0.169 0.169 0.578
0.498 0.498 0.755
0.502 0.502 0.245
0.831 0.831 0.422
0.835 0.835 0.912
```

---

Tb3TlBi2: theoretical powder diffractogram (copper Kα), based on DFT lattice parameters and positions (GGA-PBE).

Most intense lines, 15° ≤ 2θ ≤ 90°, by angle:
d = 3.160 Å, intensity 100.0
d = 2.298 Å, intensity 27.9
d = 2.249 Å, intensity 13.2
d = 2.225 Å, intensity 12.7
d = 2.174 Å, intensity 24.0
d = 1.903 Å, intensity 8.3
d = 1.818 Å, intensity 14.0
d = 1.582 Å, intensity 8.9

Structure:
```
Tb3TlBi2
1.0
4.028 -6.675 0.000
4.028 6.675 0.000
-2.445 0.000 7.066
Tb Tl Bi
6 2 4
Direct
0.000 0.500 0.000
0.154 0.325 0.499
0.325 0.154 0.999
0.500 0.000 0.500
0.675 0.846 0.001
0.846 0.675 0.501
0.422 0.578 0.250
0.578 0.422 0.750
0.085 0.915 0.250
0.254 0.746 0.750
0.746 0.254 0.250
0.915 0.085 0.750
```

---

Tb3Tl2Bi: theoretical powder diffractogram (copper Kα), based on DFT lattice parameters and positions (GGA-PBE).

Most intense lines, 15° ≤ 2θ ≤ 90°, by angle:
d = 2.757 Å, intensity 100.0
d = 2.639 Å, intensity 22.3
d = 2.586 Å, intensity 20.8
d = 1.847 Å, intensity 15.6
d = 1.545 Å, intensity 17.8
d = 1.524 Å, intensity 16.5
d = 1.379 Å, intensity 12.1
d = 1.293 Å, intensity 12.3

Structure:
```
Tb3Tl2Bi
1.0
5.278 0.000 0.000
0.000 15.518 0.000
0.000 0.000 4.142
Tb Tl Bi
6 4 2
Direct
0.250 0.085 0.001
0.250 0.415 0.001
0.250 0.750 0.999
0.750 0.250 0.001
0.750 0.585 0.999
0.750 0.915 0.999
0.250 0.578 0.500
0.250 0.922 0.500
0.750 0.078 0.500
0.750 0.422 0.500
0.250 0.250 0.501
0.750 0.750 0.499
```

---

Tb8TmBi6: theoretical powder diffractogram (copper Kα), based on DFT lattice parameters and positions (GGA-PBE).

Most intense lines, 15° ≤ 2θ ≤ 90°, by angle:
d = 3.327 Å, intensity 17.9
d = 3.270 Å, intensity 30.1
d = 2.844 Å, intensity 100.0
d = 2.768 Å, intensity 46.3
d = 2.398 Å, intensity 38.8
d = 2.024 Å, intensity 20.2
d = 1.705 Å, intensity 18.0
d = 1.354 Å, intensity 18.7

Structure:
```
Tb8TmBi6
1.0
11.524 0.000 0.000
-5.762 9.980 0.000
0.000 0.000 4.329
Tb Tm Bi
8 1 6
Direct
0.043 0.735 0.266
0.265 0.307 0.266
0.307 0.043 0.734
0.333 0.667 0.735
0.667 0.333 0.265
0.693 0.957 0.266
0.735 0.693 0.734
0.957 0.265 0.734
0.000 0.000 0.000
0.121 0.480 0.236
0.359 0.879 0.236
0.480 0.359 0.764
0.520 0.641 0.236
0.641 0.121 0.764
0.879 0.520 0.764
```

---

Tb4Tm3Bi4: theoretical powder diffractogram (copper Kα), based on DFT lattice parameters and positions (GGA-PBE).

Most intense lines, 15° ≤ 2θ ≤ 90°, by angle:
d = 4.230 Å, intensity 14.2
d = 3.095 Å, intensity 37.7
d = 2.911 Å, intensity 53.1
d = 2.733 Å, intensity 100.0
d = 2.428 Å, intensity 23.5
d = 2.357 Å, intensity 32.0
d = 1.644 Å, intensity 18.9
d = 1.423 Å, intensity 13.9

Structure:
```
Tb4Tm3Bi4
1.0
11.642 0.000 0.000
0.000 2.357 6.156
0.000 -2.357 6.156
Tb Tm Bi
4 3 4
Direct
0.000 0.000 0.000
0.249 0.472 0.472
0.500 0.057 0.057
0.751 0.472 0.472
0.000 0.698 0.698
0.347 0.766 0.766
0.653 0.766 0.766
0.000 0.354 0.354
0.224 0.147 0.147
0.500 0.361 0.361
0.776 0.147 0.147
```